# 1
Calculated powder diffraction line list of Rb3PdBr4 for CuKα, from a DFT-relaxed cell (PBE, Alexandria).

Main lines, low angle first (10 to 80 degrees two-theta):
- 2θ 10.7, I = 71
- 2θ 12.9, I = 60
- 2θ 18.1, I = 62
- 2θ 25.8, I = 100
- 2θ 26.0, I = 89
- 2θ 31.2, I = 58
- 2θ 34.2, I = 92
- 2θ 39.3, I = 59

Cell and atoms:
a = 13.7703 Å, b = 10.2689 Å, c = 5.2383 Å
α = 90.00°, β = 90.00°, γ = 90.00°
Element x y z (fractional)
Rb 0.0000 0.0920 0.0000
Rb 0.1644 0.6462 0.5041
Rb 0.3356 0.3538 0.0041
Rb 0.5000 0.9080 0.5000
Rb 0.6644 0.3538 0.0041
Rb 0.8356 0.6462 0.5041
Pd 0.0000 0.3650 0.5038
Pd 0.5000 0.6350 0.0038
Br 0.0000 0.4174 0.0040
Br 0.0000 0.8844 0.5000
Br 0.1810 0.3121 0.5040
Br 0.3190 0.6879 0.0040
Br 0.5000 0.1156 0.0000
Br 0.5000 0.5826 0.5040
Br 0.6810 0.6879 0.0040
Br 0.8190 0.3121 0.5040



# 2
Calculated powder diffraction line list of HoAgP2O8 for CuKα, from a DFT-relaxed cell (PBE, Alexandria).

Main lines, low angle first (10 to 80 degrees two-theta):
- 2θ 19.3, I = 51
- 2θ 25.5, I = 100
- 2θ 32.1, I = 22
- 2θ 34.5, I = 64
- 2θ 36.3, I = 20
- 2θ 41.4, I = 21
- 2θ 49.3, I = 20
- 2θ 50.9, I = 52

Cell and atoms:
a = 5.8163 Å, b = 5.8163 Å, c = 5.8163 Å
α = 106.08°, β = 106.08°, γ = 116.50°
Element x y z (fractional)
Ho 0.0000 0.0000 0.0000
Ag 0.2500 0.7500 0.5000
P 0.5000 0.5000 0.0000
P 0.7500 0.2500 0.5000
O 0.3346 0.1660 0.8314
O 0.3346 0.5033 0.1686
O 0.4200 0.0963 0.3237
O 0.4967 0.6654 0.8314
O 0.7727 0.0963 0.6763
O 0.8340 0.6654 0.1686
O 0.9037 0.2273 0.3237
O 0.9037 0.5800 0.6763